No. 1
Starting from a GGA-PBE-relaxed structure, the powder diffraction line list of SrEuHfZrO6 was simulated for CuKα.
Intensities are scaled so that the largest is 100.

Structure:
Unit cell a=8.3312 b=8.3312 c=8.3312 alpha=90.00 beta=90.00 gamma=90.00
Space group F-43m (No. 216)
Symmetry-distinct sites (fractional):
Sr (0.0000, 0.0000, 0.0000) [4 per cell]
Eu (0.0000, 0.0000, 0.5000) [4 per cell]
Hf (0.2500, 0.2500, 0.7500) [4 per cell]
Zr (0.2500, 0.2500, 0.2500) [4 per cell]
O (0.0020, 0.2500, 0.7500) [24 per cell]

Top 6 peaks for 15° ≤ 2θ ≤ 90°, most intense first:
index, 2θ/deg, I (rel.)
2 2 0, 30.3, 100
4 2 2, 53.9, 41
4 0 0, 43.4, 30
6 4 2, 87.7, 22
4 4 0, 63.1, 19
6 2 0, 71.6, 18

No. 2
Starting from a GGA-PBE-relaxed structure, the powder diffraction line list of CeMg6Zr was simulated for CuKα.
Intensities are scaled so that the largest is 100.

Structure:
Unit cell a=5.0431 b=6.5290 c=11.6430 alpha=90.00 beta=90.00 gamma=90.00
Space group Amm2 (No. 38)
Symmetry-distinct sites (fractional):
Ce (0.0000, 0.0000, 0.0000) [2 per cell]
Mg (0.0000, 0.0000, 0.4781) [2 per cell]
Mg (0.0000, 0.2402, 0.2352) [4 per cell]
Mg (0.5000, 0.0000, 0.6382) [2 per cell]
Mg (0.5000, 0.2432, 0.3827) [4 per cell]
Zr (0.5000, 0.0000, 0.1194) [2 per cell]

Top 6 peaks for 15° ≤ 2θ ≤ 90°, most intense first:
index, 2θ/deg, I (rel.)
0 1 1, 15.6, 100
2 0 0, 35.6, 96
1 2 2, 36.2, 69
0 2 2, 31.4, 43
0 0 2, 15.2, 34
1 1 3, 32.2, 30

No. 3
Starting from a GGA-PBE-relaxed structure, the powder diffraction line list of B3Ru7 was simulated for CuKα.
Intensities are scaled so that the largest is 100.

Structure:
Unit cell a=7.5194 b=7.5194 c=4.7556 alpha=90.00 beta=90.00 gamma=120.00
Space group P6_3mc (No. 186)
Symmetry-distinct sites (fractional):
B (0.1894, 0.3788, 0.0000) [6 per cell]
Ru (0.0866, 0.5433, 0.7379) [6 per cell]
Ru (0.1219, 0.2437, 0.4096) [6 per cell]
Ru (0.3333, 0.6667, 0.2392) [2 per cell]

Top 6 peaks for 15° ≤ 2θ ≤ 90°, most intense first:
index, 2θ/deg, I (rel.)
2 1 1, 41.3, 100
1 0 2, 40.4, 34
2 1 0, 36.5, 29
3 0 1, 46.0, 23
2 0 1, 33.4, 18
3 0 3, 74.1, 18

No. 4
Starting from a GGA-PBE-relaxed structure, the powder diffraction line list of LaCeF6 was simulated for CuKα.
Intensities are scaled so that the largest is 100.

Structure:
Unit cell a=7.4212 b=4.0858 c=7.3634 alpha=90.00 beta=90.00 gamma=90.00
Space group Amm2 (No. 38)
Symmetry-distinct sites (fractional):
La (0.0000, 0.0000, 0.0000) [2 per cell]
Ce (0.5000, 0.0000, 0.3426) [2 per cell]
F (0.0000, 0.0000, 0.6699) [2 per cell]
F (0.1726, 0.0000, 0.3372) [4 per cell]
F (0.3297, 0.0000, 0.0026) [4 per cell]
F (0.5000, 0.0000, 0.6712) [2 per cell]

Top 6 peaks for 15° ≤ 2θ ≤ 90°, most intense first:
index, 2θ/deg, I (rel.)
1 1 1, 27.7, 100
2 0 0, 24.0, 61
3 1 1, 44.6, 59
0 1 3, 43.0, 53
1 0 2, 27.0, 47
2 1 3, 49.8, 33

No. 5
Starting from a GGA-PBE-relaxed structure, the powder diffraction line list of PrBrO2 was simulated for CuKα.
Intensities are scaled so that the largest is 100.

Structure:
Unit cell a=5.1745 b=4.4528 c=6.8080 alpha=90.00 beta=106.42 gamma=90.00
Space group P2_1/m (No. 11)
Symmetry-distinct sites (fractional):
Pr (0.1951, 0.2500, 0.3451) [2 per cell]
Br (0.2200, 0.2500, 0.9014) [2 per cell]
O (0.2486, 0.7500, 0.5460) [2 per cell]
O (0.3833, 0.7500, 0.3774) [2 per cell]

Top 6 peaks for 15° ≤ 2θ ≤ 90°, most intense first:
index, 2θ/deg, I (rel.)
1 1 0, 26.9, 100
0 1 2, 34.0, 64
1 0 -2, 28.1, 61
2 1 -2, 44.1, 33
0 2 0, 40.5, 32
2 0 0, 36.2, 27

No. 6
Starting from a GGA-PBE-relaxed structure, the powder diffraction line list of Rb3Sn4Au was simulated for CuKα.
Intensities are scaled so that the largest is 100.

Structure:
Unit cell a=7.1590 b=13.5031 c=6.7391 alpha=90.00 beta=90.00 gamma=90.00
Space group Pmmn (No. 59, origin choice 2)
Symmetry-distinct sites (fractional):
Rb (0.2500, 0.0042, 0.1769) [4 per cell]
Rb (0.2500, 0.2500, 0.5485) [2 per cell]
Sn (0.0271, 0.7500, 0.9675) [4 per cell]
Sn (0.2500, 0.6341, 0.6763) [4 per cell]
Au (0.2500, 0.7500, 0.3211) [2 per cell]

Top 6 peaks for 15° ≤ 2θ ≤ 90°, most intense first:
index, 2θ/deg, I (rel.)
1 4 1, 32.2, 100
2 2 1, 31.2, 79
2 0 1, 28.2, 41
2 3 1, 34.7, 39
3 4 1, 48.6, 38
2 0 0, 24.9, 34

No. 7
Starting from a GGA-PBE-relaxed structure, the powder diffraction line list of Ca2AlCuO5 was simulated for CuKα.
Intensities are scaled so that the largest is 100.

Structure:
Unit cell a=14.7035 b=5.6250 c=5.2752 alpha=90.00 beta=90.00 gamma=90.00
Space group Ima2 (No. 46)
Symmetry-distinct sites (fractional):
Ca (0.1080, 0.0288, 0.0000) [8 per cell]
Al (0.2500, 0.5771, 0.9694) [4 per cell]
Cu (0.0000, 0.0000, 0.5103) [4 per cell]
O (0.0168, 0.7478, 0.7589) [8 per cell]
O (0.1471, 0.0718, 0.5426) [8 per cell]
O (0.2500, 0.6426, 0.6345) [4 per cell]

Top 6 peaks for 15° ≤ 2θ ≤ 90°, most intense first:
index, 2θ/deg, I (rel.)
4 1 1, 33.7, 100
0 2 2, 47.2, 42
0 0 2, 34.0, 39
6 1 1, 43.8, 38
0 2 0, 31.8, 34
4 1 3, 60.7, 21

No. 8
Starting from a GGA-PBE-relaxed structure, the powder diffraction line list of Co3Se was simulated for CuKα.
Intensities are scaled so that the largest is 100.

Structure:
Unit cell a=3.5666 b=3.5666 c=3.5666 alpha=90.00 beta=90.00 gamma=90.00
Space group Pm-3m (No. 221)
Symmetry-distinct sites (fractional):
Co (0.0000, 0.0000, 0.5000) [3 per cell]
Se (0.5000, 0.5000, 0.5000) [1 per cell]

Top 6 peaks for 15° ≤ 2θ ≤ 90°, most intense first:
index, 2θ/deg, I (rel.)
1 1 1, 44.0, 100
2 0 0, 51.2, 47
2 2 0, 75.4, 28
1 0 0, 25.0, 1
1 1 0, 35.6, 1
2 1 0, 57.8, 1

No. 9
Starting from a GGA-PBE-relaxed structure, the powder diffraction line list of HfVSi was simulated for CuKα.
Intensities are scaled so that the largest is 100.

Structure:
Unit cell a=8.4582 b=5.1933 c=8.6789 alpha=90.00 beta=90.00 gamma=90.00
Space group Amm2 (No. 38)
Symmetry-distinct sites (fractional):
Hf (0.1862, 0.0000, 0.0000) [4 per cell]
Hf (0.3107, 0.0000, 0.3371) [4 per cell]
V (0.0000, 0.0000, 0.5060) [2 per cell]
V (0.5000, 0.0000, 0.8403) [2 per cell]
V (0.5000, 0.2360, 0.0797) [4 per cell]
Si (0.0000, 0.2390, 0.2568) [4 per cell]
Si (0.2596, 0.0000, 0.6606) [4 per cell]

Top 6 peaks for 15° ≤ 2θ ≤ 90°, most intense first:
index, 2θ/deg, I (rel.)
3 1 1, 37.8, 100
2 1 3, 41.6, 82
0 1 3, 35.5, 59
3 0 2, 38.1, 41
0 2 0, 34.5, 36
1 2 2, 41.9, 35